No. 1
MnCo5: theoretical powder diffraction line list (Cu Kα (weighted mean of Kα1 and Kα2)), based on a cell relaxed with GGA-PBE.
Neutral-atom scattering factors, no anomalous dispersion.

Most intense lines, 10 to 90 degrees two-theta, in order of rising 2θ:
2theta	I_rel
23.49	8
38.82	27
45.87	100
48.04	41
75.26	27
83.32	24

a b c (Å): 4.6392 4.6392 4.6392
angles (deg): 60.00 60.00 60.00
Fractional coordinates of all 6 atoms:
Mn1 0.0000 0.0000 0.0000
Co1 0.1241 0.6253 0.6253
Co2 0.2500 0.2500 0.2500
Co3 0.6253 0.1241 0.6253
Co4 0.6253 0.6253 0.1241
Co5 0.6253 0.6253 0.6253

---

No. 2
LiTlSeO4: theoretical powder diffraction line list (Cu Kα (weighted mean of Kα1 and Kα2)), based on a cell relaxed with GGA-PBE.
Neutral-atom scattering factors, no anomalous dispersion.

Most intense lines, 10 to 90 degrees two-theta, in order of rising 2θ:
2theta	I_rel
16.72	21
20.67	39
26.45	28
27.15	100
40.45	25
47.12	18

a b c (Å): 6.8780 6.8780 6.8780
angles (deg): 121.32 105.10 102.69
Fractional coordinates of all 14 atoms:
Li1 0.5000 0.0000 0.0000
Li2 0.5000 0.5000 0.5000
Tl1 0.0000 0.0000 0.0000
Tl2 0.5000 0.0000 0.5000
Se1 0.1719 0.4219 0.7500
Se2 0.8281 0.5781 0.2500
O1 0.0996 0.6839 0.4157
O2 0.2318 0.3161 0.9157
O3 0.2901 0.3365 0.5464
O4 0.2901 0.7437 0.9536
O5 0.7099 0.2563 0.0464
O6 0.7099 0.6635 0.4536
O7 0.7682 0.6839 0.0843
O8 0.9004 0.3161 0.5843

---

No. 3
SrCeBiTe: theoretical powder diffraction line list (Cu Kα (weighted mean of Kα1 and Kα2)), based on a cell relaxed with GGA-PBE.
Neutral-atom scattering factors, no anomalous dispersion.

Most intense lines, 10 to 90 degrees two-theta, in order of rising 2θ:
2theta	I_rel
23.66	52
28.99	100
34.15	64
39.51	62
49.74	23
60.75	33

a b c (Å): 8.6122 8.6122 8.6122
angles (deg): 30.71 30.71 30.71
Fractional coordinates of all 4 atoms:
Sr1 0.0000 0.0000 0.0000
Ce1 0.1727 0.1727 0.1727
Bi1 0.5821 0.5821 0.5821
Te1 0.4218 0.4218 0.4218

---

No. 4
Ni3Pd2Pt3: theoretical powder diffraction line list (Cu Kα (weighted mean of Kα1 and Kα2)), based on a cell relaxed with GGA-PBE.
Neutral-atom scattering factors, no anomalous dispersion.

Most intense lines, 10 to 90 degrees two-theta, in order of rising 2θ:
2theta	I_rel
40.86	100
46.94	17
47.22	16
48.44	16
82.99	13
83.41	12

a b c (Å): 3.7583 3.8717 7.6998
angles (deg): 90.00 90.00 90.00
Fractional coordinates of all 8 atoms:
Ni1 0.0000 0.0000 0.0000
Ni2 0.0000 0.5000 0.2445
Ni3 0.0000 0.5000 0.7555
Pd1 0.5000 0.0000 0.2409
Pd2 0.5000 0.0000 0.7591
Pt1 0.0000 0.0000 0.5000
Pt2 0.5000 0.5000 0.0000
Pt3 0.5000 0.5000 0.5000

---

No. 5
TlRe4Mo: theoretical powder diffraction line list (Cu Kα (weighted mean of Kα1 and Kα2)), based on a cell relaxed with GGA-PBE.
Neutral-atom scattering factors, no anomalous dispersion.

Most intense lines, 10 to 90 degrees two-theta, in order of rising 2θ:
2theta	I_rel
34.25	20
40.40	100
42.28	48
65.50	32
72.16	29
87.35	19

a b c (Å): 5.2363 5.2363 5.2363
angles (deg): 60.00 60.00 60.00
Fractional coordinates of all 6 atoms:
Tl1 0.0000 0.0000 0.0000
Re1 0.3744 0.3744 0.3744
Re2 0.3744 0.3744 0.8768
Re3 0.3744 0.8768 0.3744
Re4 0.8768 0.3744 0.3744
Mo1 0.7500 0.7500 0.7500

---

No. 6
Tb2Pm5Er5: theoretical powder diffraction line list (Cu Kα (weighted mean of Kα1 and Kα2)), based on a cell relaxed with GGA-PBE.
Neutral-atom scattering factors, no anomalous dispersion.

Most intense lines, 10 to 90 degrees two-theta, in order of rising 2θ:
2theta	I_rel
30.63	100
35.49	34
35.58	17
51.08	24
60.67	14
60.83	29

a b c (Å): 7.9880 7.9880 11.3250
angles (deg): 115.09 115.09 36.82
Fractional coordinates of all 12 atoms:
Tb1 0.0832 0.0832 0.2485
Tb2 0.9168 0.9168 0.7515
Pm1 0.3342 0.3342 0.5008
Pm2 0.4155 0.4155 0.2491
Pm3 0.5000 0.5000 0.0000
Pm4 0.5845 0.5845 0.7509
Pm5 0.6658 0.6658 0.4992
Er1 0.0000 0.0000 0.5000
Er2 0.1681 0.1681 0.0012
Er3 0.2508 0.2508 0.7520
Er4 0.7492 0.7492 0.2480
Er5 0.8319 0.8319 0.9988

---

No. 7
Ba12Na2Sr5: theoretical powder diffraction line list (Cu Kα (weighted mean of Kα1 and Kα2)), based on a cell relaxed with GGA-PBE.
Neutral-atom scattering factors, no anomalous dispersion.

Most intense lines, 10 to 90 degrees two-theta, in order of rising 2θ:
2theta	I_rel
25.73	100
26.28	25
26.56	23
37.71	18
46.04	20
46.38	18

a b c (Å): 14.6576 14.6576 6.7819
angles (deg): 103.34 103.34 54.51
Fractional coordinates of all 19 atoms:
Ba1 0.0433 0.5542 0.7987
Ba2 0.0892 0.0892 0.0894
Ba3 0.1435 0.6729 0.4081
Ba4 0.3271 0.8565 0.5919
Ba5 0.4032 0.4032 0.9031
Ba6 0.4458 0.9567 0.2013
Ba7 0.5542 0.0433 0.7987
Ba8 0.5968 0.5968 0.0969
Ba9 0.6729 0.1435 0.4081
Ba10 0.8565 0.3271 0.5919
Ba11 0.9108 0.9108 0.9106
Ba12 0.9567 0.4458 0.2013
Na1 0.2663 0.7337 0.0000
Na2 0.7337 0.2663 0.0000
Sr1 0.2060 0.2060 0.7060
Sr2 0.3056 0.3056 0.3055
Sr3 0.5000 0.5000 0.5000
Sr4 0.6944 0.6944 0.6945
Sr5 0.7940 0.7940 0.2940

---

No. 8
LiAc2Co2: theoretical powder diffraction line list (Cu Kα (weighted mean of Kα1 and Kα2)), based on a cell relaxed with GGA-PBE.
Neutral-atom scattering factors, no anomalous dispersion.

Most intense lines, 10 to 90 degrees two-theta, in order of rising 2θ:
2theta	I_rel
11.48	67
22.44	48
27.84	47
30.95	66
31.42	84
35.15	100

a b c (Å): 7.9743 7.9743 4.2242
angles (deg): 90.00 90.00 150.21
Fractional coordinates of all 5 atoms:
Li1 0.0000 0.0000 0.0000
Ac1 0.3599 0.6401 0.5000
Ac2 0.6401 0.3599 0.5000
Co1 0.2193 0.7807 0.0000
Co2 0.7807 0.2193 0.0000

---

No. 9
PrNdEr2Se4: theoretical powder diffraction line list (Cu Kα (weighted mean of Kα1 and Kα2)), based on a cell relaxed with GGA-PBE.
Neutral-atom scattering factors, no anomalous dispersion.

Most intense lines, 10 to 90 degrees two-theta, in order of rising 2θ:
2theta	I_rel
30.53	100
42.80	13
42.95	25
44.46	24
55.04	13
63.54	12

a b c (Å): 7.0679 4.0595 7.3947
angles (deg): 90.00 108.43 90.00
Fractional coordinates of all 8 atoms:
Pr1 0.0000 0.0000 0.0000
Nd1 0.5000 0.5000 0.0000
Er1 0.0000 0.5000 0.5000
Er2 0.5000 0.0000 0.5000
Se1 0.2442 0.0000 0.7302
Se2 0.2582 0.5000 0.2706
Se3 0.7418 0.5000 0.7294
Se4 0.7558 0.0000 0.2698

---

No. 10
AsAu: theoretical powder diffraction line list (Cu Kα (weighted mean of Kα1 and Kα2)), based on a cell relaxed with GGA-PBE.
Neutral-atom scattering factors, no anomalous dispersion.

Most intense lines, 10 to 90 degrees two-theta, in order of rising 2θ:
2theta	I_rel
25.82	38
26.25	100
29.32	43
31.65	67
33.50	56
37.16	51

a b c (Å): 6.2156 6.9005 8.1043
angles (deg): 90.00 90.00 90.00
Fractional coordinates of all 16 atoms:
As1 0.0495 0.1256 0.1226
As2 0.0495 0.3744 0.6226
As3 0.4505 0.6256 0.1226
As4 0.4505 0.8744 0.6226
As5 0.5495 0.1256 0.3774
As6 0.5495 0.3744 0.8774
As7 0.9505 0.6256 0.3774
As8 0.9505 0.8744 0.8774
Au1 0.1853 0.5656 0.8789
Au2 0.1853 0.9344 0.3789
Au3 0.3147 0.0656 0.8789
Au4 0.3147 0.4344 0.3789
Au5 0.6853 0.5656 0.6211
Au6 0.6853 0.9344 0.1211
Au7 0.8147 0.0656 0.6211
Au8 0.8147 0.4344 0.1211

---

No. 11
PrY3Tm2: theoretical powder diffraction line list (Cu Kα (weighted mean of Kα1 and Kα2)), based on a cell relaxed with GGA-PBE.
Neutral-atom scattering factors, no anomalous dispersion.

Most intense lines, 10 to 90 degrees two-theta, in order of rising 2θ:
2theta	I_rel
28.88	46
30.18	52
30.79	45
32.13	60
32.40	100
35.16	50

a b c (Å): 9.9481 9.9481 9.9481
angles (deg): 137.28 57.71 143.09
Fractional coordinates of all 12 atoms:
Pr1 0.2546 0.0046 0.2500
Pr2 0.7454 0.9954 0.7500
Y1 0.1861 0.2502 0.9359
Y2 0.1857 0.7498 0.4359
Y3 0.2413 0.4913 0.7500
Y4 0.7587 0.5087 0.2500
Y5 0.8143 0.2502 0.5641
Y6 0.8139 0.7498 0.0641
Tm1 0.3549 0.0000 0.8549
Tm2 0.3549 0.5000 0.3549
Tm3 0.6451 0.0000 0.1451
Tm4 0.6451 0.5000 0.6451

---

No. 12
GeBiCl5: theoretical powder diffraction line list (Cu Kα (weighted mean of Kα1 and Kα2)), based on a cell relaxed with GGA-PBE.
Neutral-atom scattering factors, no anomalous dispersion.

Most intense lines, 10 to 90 degrees two-theta, in order of rising 2θ:
2theta	I_rel
13.07	47
17.00	76
19.93	45
20.08	100
34.97	39
40.83	36

a b c (Å): 7.4028 7.4028 10.1959
angles (deg): 112.07 112.07 74.01
Fractional coordinates of all 14 atoms:
Ge1 0.0259 0.9741 0.7500
Ge2 0.9741 0.0259 0.2500
Bi1 0.5000 0.5000 0.0000
Bi2 0.5000 0.5000 0.5000
Cl1 0.1700 0.7684 0.5551
Cl2 0.2124 0.2747 0.8468
Cl3 0.2316 0.8300 0.9449
Cl4 0.2747 0.2124 0.3468
Cl5 0.3859 0.6141 0.2500
Cl6 0.6141 0.3859 0.7500
Cl7 0.7253 0.7876 0.6532
Cl8 0.7684 0.1700 0.0551
Cl9 0.7876 0.7253 0.1532
Cl10 0.8300 0.2316 0.4449

---

No. 13
AcPuHg2O6: theoretical powder diffraction line list (Cu Kα (weighted mean of Kα1 and Kα2)), based on a cell relaxed with GGA-PBE.
Neutral-atom scattering factors, no anomalous dispersion.

Most intense lines, 10 to 90 degrees two-theta, in order of rising 2θ:
2theta	I_rel
27.73	100
29.93	78
41.26	38
47.63	22
51.80	38
53.14	21

a b c (Å): 6.4722 6.4722 6.4722
angles (deg): 54.93 54.93 54.93
Fractional coordinates of all 10 atoms:
Ac1 0.0000 0.0000 0.0000
Pu1 0.5000 0.5000 0.5000
Hg1 0.2405 0.2405 0.2405
Hg2 0.7595 0.7595 0.7595
O1 0.1413 0.7280 0.4012
O2 0.2720 0.5988 0.8587
O3 0.4012 0.1413 0.7280
O4 0.5988 0.8587 0.2720
O5 0.7280 0.4012 0.1413
O6 0.8587 0.2720 0.5988

---

No. 14
Dy5Y3Sb8: theoretical powder diffraction line list (Cu Kα (weighted mean of Kα1 and Kα2)), based on a cell relaxed with GGA-PBE.
Neutral-atom scattering factors, no anomalous dispersion.

Most intense lines, 10 to 90 degrees two-theta, in order of rising 2θ:
2theta	I_rel
28.77	100
41.14	76
50.98	27
59.59	13
67.50	34
74.98	25

a b c (Å): 8.7757 8.7757 8.7757
angles (deg): 60.00 60.00 60.00
Fractional coordinates of all 16 atoms:
Dy1 0.0000 0.0000 0.0000
Dy2 0.0000 0.5000 0.5000
Dy3 0.5000 0.0000 0.5000
Dy4 0.5000 0.5000 0.0000
Dy5 0.5000 0.5000 0.5000
Y1 0.0000 0.0000 0.5000
Y2 0.0000 0.5000 0.0000
Y3 0.5000 0.0000 0.0000
Sb1 0.2502 0.2502 0.2502
Sb2 0.2500 0.2500 0.7496
Sb3 0.2500 0.7496 0.2500
Sb4 0.2504 0.7500 0.7500
Sb5 0.7496 0.2500 0.2500
Sb6 0.7500 0.2504 0.7500
Sb7 0.7500 0.7500 0.2504
Sb8 0.7498 0.7498 0.7498